1.
Simulated powder diffractogram of BaMg14CrO16 for Cu Kα X-rays, from a DFT-relaxed cell (PBE+U, the Materials Project).

Cell and atoms:
Cell lengths 8.723, 8.723, 4.564 Å; angles 90.00, 90.00, 90.00 degrees
Atoms (fractional coordinates):
Ba1 0.000 0.000 0.000
Mg1 0.000 0.264 0.500
Mg2 0.000 0.500 0.000
Mg3 0.000 0.736 0.500
Mg4 0.254 0.500 0.500
Mg5 0.258 0.258 0.000
Mg6 0.258 0.742 0.000
Mg7 0.264 0.000 0.500
Mg8 0.500 0.000 0.000
Mg9 0.500 0.254 0.500
Mg10 0.500 0.746 0.500
Mg11 0.736 0.000 0.500
Mg12 0.742 0.258 0.000
Mg13 0.742 0.742 0.000
Mg14 0.746 0.500 0.500
Cr1 0.500 0.500 0.000
O1 0.000 0.000 0.500
O2 0.000 0.281 0.000
O3 0.000 0.500 0.500
O4 0.000 0.719 0.000
O5 0.251 0.251 0.500
O6 0.251 0.749 0.500
O7 0.254 0.500 0.000
O8 0.281 0.000 0.000
O9 0.500 0.000 0.500
O10 0.500 0.254 0.000
O11 0.500 0.500 0.500
O12 0.500 0.746 0.000
O13 0.719 0.000 0.000
O14 0.746 0.500 0.000
O15 0.749 0.251 0.500
O16 0.749 0.749 0.500

Main lines, sorted by position (2θ from 15° to 90°):
- 2θ 35.12, d = 2.555 Å, rel. 41.2
- 2θ 39.49, d = 2.282 Å, rel. 60.2
- 2θ 41.41, d = 2.181 Å, rel. 100.0
- 2θ 58.55, d = 1.577 Å, rel. 63.4
- 2θ 59.99, d = 1.542 Å, rel. 28.1
- 2θ 74.23, d = 1.278 Å, rel. 27.5

2.
Simulated powder diffractogram of BaMg6CrO8 for Cu Kα X-rays, from a DFT-relaxed cell (PBE+U, the Materials Project).

Cell and atoms:
Cell lengths 4.687, 4.687, 8.863 Å; angles 90.00, 90.00, 90.00 degrees
Atoms (fractional coordinates):
Ba1 0.000 0.000 0.000
Mg1 0.000 0.500 0.265
Mg2 0.000 0.500 0.735
Mg3 0.500 0.000 0.265
Mg4 0.500 0.000 0.735
Mg5 0.500 0.500 0.000
Mg6 0.500 0.500 0.500
Cr1 0.000 0.000 0.500
O1 0.000 0.000 0.279
O2 0.000 0.000 0.721
O3 0.000 0.500 0.000
O4 0.000 0.500 0.500
O5 0.500 0.000 0.000
O6 0.500 0.000 0.500
O7 0.500 0.500 0.253
O8 0.500 0.500 0.747

Main lines, sorted by position (2θ from 15° to 90°):
- 2θ 18.93, d = 4.687 Å, rel. 49.2
- 2θ 27.70, d = 3.220 Å, rel. 40.7
- 2θ 33.77, d = 2.654 Å, rel. 55.0
- 2θ 38.41, d = 2.343 Å, rel. 100.0
- 2θ 40.72, d = 2.216 Å, rel. 38.9
- 2θ 57.22, d = 1.610 Å, rel. 51.4

3.
Simulated powder diffractogram of BaMg14CrO16 for Cu Kα X-rays, from a DFT-relaxed cell (PBE+U, the Materials Project).

Cell and atoms:
Cell lengths 4.514, 8.758, 8.813 Å; angles 90.00, 90.00, 90.00 degrees
Atoms (fractional coordinates):
Ba1 0.000 0.000 0.000
Mg1 0.000 0.000 0.500
Mg2 0.000 0.258 0.261
Mg3 0.000 0.258 0.739
Mg4 0.000 0.500 0.500
Mg5 0.000 0.742 0.261
Mg6 0.000 0.742 0.739
Mg7 0.500 0.000 0.265
Mg8 0.500 0.000 0.735
Mg9 0.500 0.253 0.500
Mg10 0.500 0.263 0.000
Mg11 0.500 0.500 0.254
Mg12 0.500 0.500 0.746
Mg13 0.500 0.737 0.000
Mg14 0.500 0.747 0.500
Cr1 0.000 0.500 0.000
O1 0.000 0.000 0.281
O2 0.000 0.000 0.719
O3 0.000 0.255 0.500
O4 0.000 0.277 0.000
O5 0.000 0.500 0.266
O6 0.000 0.500 0.734
O7 0.000 0.723 0.000
O8 0.000 0.745 0.500
O9 0.500 0.000 0.000
O10 0.500 0.000 0.500
O11 0.500 0.251 0.250
O12 0.500 0.251 0.750
O13 0.500 0.500 0.000
O14 0.500 0.500 0.500
O15 0.500 0.749 0.250
O16 0.500 0.749 0.750

Main lines, sorted by position (2θ from 15° to 90°):
- 2θ 35.07, d = 2.559 Å, rel. 70.9
- 2θ 39.94, d = 2.257 Å, rel. 100.0
- 2θ 40.96, d = 2.203 Å, rel. 88.0
- 2θ 41.24, d = 2.189 Å, rel. 92.2
- 2θ 58.55, d = 1.577 Å, rel. 53.9
- 2θ 58.75, d = 1.572 Å, rel. 54.2

4.
Simulated powder diffractogram of Ba2Mg2Tl2Cr3O10 for Cu Kα X-rays, from a DFT-relaxed cell (PBE+U, the Materials Project).

Cell and atoms:
Cell lengths 3.804, 3.885, 19.499 Å; angles 91.80, 95.20, 90.10 degrees
Atoms (fractional coordinates):
Ba1 0.000 0.000 0.000
Ba2 0.335 0.268 0.588
Mg1 0.096 0.029 0.190
Mg2 0.225 0.236 0.393
Tl1 0.439 0.407 0.855
Tl2 0.889 0.865 0.738
Cr1 0.562 0.520 0.123
Cr2 0.664 0.762 0.303
Cr3 0.789 0.742 0.474
O1 0.072 0.519 0.145
O2 0.154 0.800 0.283
O3 0.278 0.739 0.439
O4 0.381 0.297 0.729
O5 0.511 0.512 0.024
O6 0.576 0.024 0.149
O7 0.673 0.273 0.327
O8 0.812 0.240 0.466
O9 0.827 0.760 0.572
O10 0.947 0.842 0.866

Main lines, sorted by position (2θ from 15° to 90°):
- 2θ 27.15, d = 3.284 Å, rel. 37.6
- 2θ 28.55, d = 3.127 Å, rel. 37.4
- 2θ 28.99, d = 3.080 Å, rel. 39.2
- 2θ 31.25, d = 2.863 Å, rel. 37.1
- 2θ 32.29, d = 2.773 Å, rel. 45.8
- 2θ 32.99, d = 2.715 Å, rel. 100.0